Record 1
For Sr2CaTi6N2O11, a structure optimized by DFT (GGA-PBE) gives the computed powder diffractogram in this record (Cu Kα).

The 12 most intense peaks (10 to 90 degrees two-theta), low angle first:
24.95 deg, rel. 15, hkl 0 2 -1
30.00 deg, rel. 100, hkl 1 1 0
32.77 deg, rel. 37, hkl 0 2 -3
32.91 deg, rel. 26, hkl 0 1 3
35.33 deg, rel. 62, hkl 1 0 -3
37.68 deg, rel. 21, hkl 1 0 3
39.58 deg, rel. 24, hkl 0 2 -4
46.90 deg, rel. 38, hkl 2 -1 0
47.03 deg, rel. 23, hkl 0 3 2
50.29 deg, rel. 13, hkl 1 3 -1
58.43 deg, rel. 21, hkl 2 1 -3
68.60 deg, rel. 12, hkl 2 2 2

Atomic structure:
a = 3.875 Å, b = 7.446 Å, c = 10.094 Å
α = 103.29°, β = 90.01°, γ = 105.06°
Space group P1 (No. 1)
Asymmetric unit:
Sr1 0.000 0.000 0.000
Sr2 0.040 0.078 0.349
Ca1 0.981 0.960 0.665
Ti1 0.280 0.558 0.764
Ti2 0.330 0.658 0.103
Ti3 0.369 0.736 0.453
Ti4 0.650 0.298 0.587
Ti5 0.674 0.346 0.919
Ti6 0.731 0.460 0.252
N1 0.350 0.697 0.626
N2 0.740 0.478 0.771
O1 0.138 0.274 0.616
O2 0.188 0.373 0.950
O3 0.261 0.520 0.274
O4 0.378 0.755 0.932
O5 0.449 0.896 0.211
O6 0.507 0.013 0.518
O7 0.549 0.094 0.825
O8 0.620 0.238 0.120
O9 0.670 0.338 0.412
O10 0.803 0.604 0.087
O11 0.874 0.745 0.412

Record 2
For CaTaNO2, a structure optimized by DFT (GGA-PBE) gives the computed powder diffractogram in this record (Cu Kα).

The 12 most intense peaks (10 to 90 degrees two-theta), low angle first:
22.35 deg, rel. 100, hkl 1 1 -1
22.50 deg, rel. 46, hkl 0 0 2
31.47 deg, rel. 40, hkl 0 2 0
31.86 deg, rel. 77, hkl 1 1 1
31.99 deg, rel. 75, hkl 1 1 -3
32.17 deg, rel. 37, hkl 2 0 -2
45.62 deg, rel. 40, hkl 2 2 -2
45.92 deg, rel. 20, hkl 0 0 4
51.54 deg, rel. 23, hkl 2 2 -4
56.32 deg, rel. 30, hkl 1 3 -3
57.05 deg, rel. 25, hkl 3 1 -1
57.33 deg, rel. 26, hkl 3 1 -5

Atomic structure:
a = 5.566 Å, b = 5.686 Å, c = 9.642 Å
α = 90.00°, β = 124.93°, γ = 90.00°
Space group P2_1/c (No. 14)
Asymmetric unit:
Ca1 0.233 0.041 0.246
Ta1 0.000 0.000 0.500
Ta2 0.500 0.000 0.000
N1 0.167 0.211 0.957
O1 0.243 0.710 0.951
O2 0.338 0.022 0.750

Record 3
For CaTaNO2, a structure optimized by DFT (GGA-PBE) gives the computed powder diffractogram in this record (Cu Kα).

The 12 most intense peaks (10 to 90 degrees two-theta), low angle first:
22.23 deg, rel. 54, hkl 0 1 1
22.63 deg, rel. 24, hkl 2 0 0
31.30 deg, rel. 22, hkl 0 0 2
31.94 deg, rel. 100, hkl 2 1 1
45.36 deg, rel. 21, hkl 0 2 2
46.21 deg, rel. 11, hkl 4 0 0
51.27 deg, rel. 12, hkl 2 2 2
51.85 deg, rel. 12, hkl 4 1 1
56.12 deg, rel. 16, hkl 2 1 3
56.94 deg, rel. 27, hkl 4 0 2
57.30 deg, rel. 8, hkl 4 2 0
66.76 deg, rel. 11, hkl 4 2 2

Atomic structure:
a = 7.858 Å, b = 5.597 Å, c = 5.715 Å
α = 90.00°, β = 90.00°, γ = 90.00°
Space group Pmc2_1 (No. 26)
Asymmetric unit:
Ca1 0.000 0.232 0.000
Ca2 0.500 0.258 0.913
Ta1 0.254 0.265 0.451
N1 0.296 0.464 0.179
O1 0.000 0.332 0.444
O2 0.202 0.038 0.759
O3 0.500 0.153 0.492

Record 4
For Ca2Ti6N2O11, a structure optimized by DFT (GGA-PBE) gives the computed powder diffractogram in this record (Cu Kα).

The 12 most intense peaks (10 to 90 degrees two-theta), low angle first:
12.13 deg, rel. 93, hkl 2 0 0
14.12 deg, rel. 65, hkl 2 0 -1
24.18 deg, rel. 49, hkl 1 1 0
29.44 deg, rel. 71, hkl 2 0 -3
29.81 deg, rel. 89, hkl 3 1 0
30.37 deg, rel. 100, hkl 3 1 -1
31.69 deg, rel. 32, hkl 1 1 2
32.34 deg, rel. 39, hkl 3 1 1
33.74 deg, rel. 62, hkl 4 0 2
42.55 deg, rel. 67, hkl 4 0 -4
44.92 deg, rel. 48, hkl 6 0 2
47.82 deg, rel. 82, hkl 0 2 0

Atomic structure:
a = 14.810 Å, b = 3.804 Å, c = 9.399 Å
α = 90.00°, β = 99.74°, γ = 90.00°
Space group Cm (No. 8)
Asymmetric unit:
Ca1 0.000 0.000 0.000
Ca2 0.101 0.000 0.541
Ti1 0.182 0.500 0.839
Ti2 0.225 0.500 0.163
Ti3 0.286 0.500 0.495
Ti4 0.316 0.000 0.970
Ti5 0.402 0.000 0.307
Ti6 0.438 0.000 0.664
N1 0.206 0.000 0.834
N2 0.300 0.500 0.996
O1 0.001 0.500 0.449
O2 0.059 0.500 0.726
O3 0.119 0.500 0.024
O4 0.185 0.500 0.346
O5 0.215 0.500 0.631
O6 0.258 0.000 0.170
O7 0.320 0.000 0.497
O8 0.363 0.500 0.315
O9 0.412 0.000 0.851
O10 0.419 0.500 0.629
O11 0.444 0.000 0.137

Record 5
For Ca2Ti6N2O11, a structure optimized by DFT (GGA-PBE) gives the computed powder diffractogram in this record (Cu Kα).

The 12 most intense peaks (10 to 90 degrees two-theta), low angle first:
12.04 deg, rel. 96, hkl 0 1 0
13.76 deg, rel. 89, hkl 0 1 -1
27.72 deg, rel. 41, hkl 0 2 -2
28.67 deg, rel. 85, hkl 0 1 -3
29.91 deg, rel. 62, hkl 1 1 0
30.04 deg, rel. 56, hkl 1 -2 0
30.30 deg, rel. 82, hkl 1 1 -1
30.43 deg, rel. 48, hkl 1 -2 1
33.74 deg, rel. 100, hkl 0 2 2
41.32 deg, rel. 89, hkl 0 2 -4
44.91 deg, rel. 50, hkl 0 3 2
48.48 deg, rel. 93, hkl 2 -1 0

Atomic structure:
a = 3.756 Å, b = 7.719 Å, c = 9.599 Å
α = 100.89°, β = 90.14°, γ = 103.81°
Space group P1 (No. 1)
Asymmetric unit:
Ca1 0.000 0.000 0.000
Ca2 0.065 0.168 0.532
Ti1 0.295 0.617 0.044
Ti2 0.355 0.738 0.371
Ti3 0.410 0.845 0.694
Ti4 0.646 0.317 0.866
Ti5 0.681 0.385 0.236
Ti6 0.759 0.541 0.548
N1 0.457 0.941 0.529
N2 0.814 0.655 0.388
O1 0.160 0.345 0.913
O2 0.219 0.461 0.226
O3 0.274 0.570 0.573
O4 0.364 0.757 0.917
O5 0.387 0.816 0.200
O6 0.516 0.064 0.830
O7 0.581 0.175 0.110
O8 0.643 0.304 0.411
O9 0.663 0.350 0.687
O10 0.756 0.539 0.042
O11 0.877 0.779 0.700

Record 6
For Ca2Ti6N2O11, a structure optimized by DFT (GGA-PBE) gives the computed powder diffractogram in this record (Cu Kα).

The 12 most intense peaks (10 to 90 degrees two-theta), low angle first:
12.00 deg, rel. 46, hkl 2 0 0
14.21 deg, rel. 34, hkl 2 0 -1
24.27 deg, rel. 24, hkl 1 1 0
29.79 deg, rel. 100, hkl 2 0 -3
30.49 deg, rel. 41, hkl 3 1 -1
31.75 deg, rel. 17, hkl 1 1 2
32.22 deg, rel. 18, hkl 3 1 1
33.30 deg, rel. 47, hkl 4 0 2
43.08 deg, rel. 39, hkl 4 0 -4
44.28 deg, rel. 24, hkl 6 0 2
48.07 deg, rel. 42, hkl 0 2 0
56.16 deg, rel. 21, hkl 7 1 2

Atomic structure:
a = 14.922 Å, b = 3.785 Å, c = 9.316 Å
α = 90.00°, β = 98.61°, γ = 90.00°
Space group Cm (No. 8)
Asymmetric unit:
Ca1 0.000 0.000 0.000
Ca2 0.090 0.000 0.510
Ti1 0.160 0.500 0.845
Ti2 0.205 0.500 0.197
Ti3 0.272 0.500 0.513
Ti4 0.314 0.000 0.997
Ti5 0.379 0.000 0.333
Ti6 0.419 0.000 0.662
N1 0.164 0.500 0.372
N2 0.310 0.000 0.508
O1 0.046 0.500 0.753
O2 0.103 0.500 0.048
O3 0.182 0.000 0.879
O4 0.205 0.500 0.667
O5 0.245 0.000 0.182
O6 0.287 0.500 0.995
O7 0.345 0.500 0.322
O8 0.388 0.000 0.856
O9 0.412 0.500 0.648
O10 0.420 0.000 0.140
O11 0.484 0.000 0.462

Record 7
For Ca2Ti6N2O11, a structure optimized by DFT (GGA-PBE) gives the computed powder diffractogram in this record (Cu Kα).

The 12 most intense peaks (10 to 90 degrees two-theta), low angle first:
11.93 deg, rel. 100, hkl 2 0 0
13.94 deg, rel. 75, hkl 2 0 -1
24.46 deg, rel. 49, hkl 1 1 0
29.12 deg, rel. 74, hkl 2 0 -3
29.88 deg, rel. 99, hkl 3 1 0
30.46 deg, rel. 100, hkl 3 1 -1
31.74 deg, rel. 42, hkl 1 1 2
33.22 deg, rel. 81, hkl 4 0 2
42.06 deg, rel. 66, hkl 4 0 -4
44.18 deg, rel. 46, hkl 6 0 2
48.49 deg, rel. 89, hkl 0 2 0
59.12 deg, rel. 41, hkl 0 0 6

Atomic structure:
a = 15.040 Å, b = 3.755 Å, c = 9.502 Å
α = 90.00°, β = 99.57°, γ = 90.00°
Space group Cm (No. 8)
Asymmetric unit:
Ca1 0.000 0.000 0.000
Ca2 0.086 0.000 0.547
Ti1 0.155 0.500 0.887
Ti2 0.189 0.500 0.248
Ti3 0.273 0.500 0.586
Ti4 0.306 0.000 0.055
Ti5 0.366 0.000 0.380
Ti6 0.420 0.000 0.722
N1 0.034 0.500 0.826
N2 0.382 0.500 0.712
O1 0.094 0.500 0.106
O2 0.143 0.500 0.413
O3 0.178 0.000 0.928
O4 0.180 0.500 0.697
O5 0.232 0.000 0.242
O6 0.274 0.500 0.061
O7 0.280 0.000 0.553
O8 0.329 0.500 0.393
O9 0.378 0.000 0.925
O10 0.407 0.000 0.212
O11 0.466 0.000 0.525

Record 8
For Ca2Ti6N2O11, a structure optimized by DFT (GGA-PBE) gives the computed powder diffractogram in this record (Cu Kα).

The 12 most intense peaks (10 to 90 degrees two-theta), low angle first:
11.96 deg, rel. 79, hkl 2 0 0
13.99 deg, rel. 60, hkl 2 0 -1
24.34 deg, rel. 50, hkl 1 1 0
29.30 deg, rel. 68, hkl 2 0 -3
29.81 deg, rel. 84, hkl 3 1 0
30.40 deg, rel. 100, hkl 3 1 -1
31.74 deg, rel. 28, hkl 1 1 2
33.36 deg, rel. 66, hkl 4 0 2
42.29 deg, rel. 66, hkl 4 0 -4
44.35 deg, rel. 40, hkl 6 0 2
48.23 deg, rel. 70, hkl 0 2 0
66.05 deg, rel. 28, hkl 4 2 -4

Atomic structure:
a = 15.011 Å, b = 3.774 Å, c = 9.439 Å
α = 90.00°, β = 99.62°, γ = 90.00°
Space group Cm (No. 8)
Asymmetric unit:
Ca1 0.000 0.000 0.000
Ca2 0.089 0.000 0.519
Ti1 0.164 0.500 0.853
Ti2 0.216 0.500 0.179
Ti3 0.280 0.500 0.509
Ti4 0.315 0.000 0.996
Ti5 0.390 0.000 0.309
Ti6 0.431 0.000 0.670
N1 0.116 0.500 0.026
N2 0.259 0.000 0.165
O1 0.055 0.500 0.725
O2 0.176 0.500 0.357
O3 0.198 0.000 0.854
O4 0.210 0.500 0.641
O5 0.300 0.500 0.979
O6 0.314 0.000 0.504
O7 0.356 0.500 0.322
O8 0.407 0.000 0.853
O9 0.411 0.500 0.633
O10 0.433 0.000 0.134
O11 0.492 0.000 0.447

What did the fifth record say?
For Ca2Ti6N2O11, a structure optimized by DFT (GGA-PBE) gives the computed powder diffractogram in this record (Cu Kα).

The 12 most intense peaks (10 to 90 degrees two-theta), low angle first:
12.04 deg, rel. 96, hkl 0 1 0
13.76 deg, rel. 89, hkl 0 1 -1
27.72 deg, rel. 41, hkl 0 2 -2
28.67 deg, rel. 85, hkl 0 1 -3
29.91 deg, rel. 62, hkl 1 1 0
30.04 deg, rel. 56, hkl 1 -2 0
30.30 deg, rel. 82, hkl 1 1 -1
30.43 deg, rel. 48, hkl 1 -2 1
33.74 deg, rel. 100, hkl 0 2 2
41.32 deg, rel. 89, hkl 0 2 -4
44.91 deg, rel. 50, hkl 0 3 2
48.48 deg, rel. 93, hkl 2 -1 0

Atomic structure:
a = 3.756 Å, b = 7.719 Å, c = 9.599 Å
α = 100.89°, β = 90.14°, γ = 103.81°
Space group P1 (No. 1)
Asymmetric unit:
Ca1 0.000 0.000 0.000
Ca2 0.065 0.168 0.532
Ti1 0.295 0.617 0.044
Ti2 0.355 0.738 0.371
Ti3 0.410 0.845 0.694
Ti4 0.646 0.317 0.866
Ti5 0.681 0.385 0.236
Ti6 0.759 0.541 0.548
N1 0.457 0.941 0.529
N2 0.814 0.655 0.388
O1 0.160 0.345 0.913
O2 0.219 0.461 0.226
O3 0.274 0.570 0.573
O4 0.364 0.757 0.917
O5 0.387 0.816 0.200
O6 0.516 0.064 0.830
O7 0.581 0.175 0.110
O8 0.643 0.304 0.411
O9 0.663 0.350 0.687
O10 0.756 0.539 0.042
O11 0.877 0.779 0.700

Q: Number 6 is which compound?
A: Ca2Ti6N2O11